For HfScRuO6, DFT lattice parameters and positions (PBE) gives the calculated powder diffraction line list in this record (Cu Kα (weighted mean of Kα1 and Kα2)).

Structural model:
```
18
Lattice="5.215 0.000 0.000 -2.607 4.516 0.000 0.000 0.000 9.230" Properties=species:S:1:pos:R:3 pbc="T T T"
Hf 0.000 3.011 2.307
Hf 2.607 1.505 6.922
Sc 0.000 0.000 0.000
Sc 0.000 0.000 4.615
Ru 0.000 3.011 6.922
Ru 2.607 1.505 2.307
O -0.834 1.577 5.830
O -1.658 3.005 8.015
O 0.834 1.577 8.015
O -0.825 4.449 5.830
O 1.783 0.066 1.215
O 0.949 1.511 3.400
O 1.658 3.005 5.830
O 0.825 4.449 8.015
O 3.432 0.066 3.400
O 1.773 2.939 1.215
O 4.266 1.511 1.215
O 3.441 2.939 3.400
```

Largest 10 diffraction maxima, sorted by position, 10 to 90 degrees two-theta:
Position (°2θ), I/Imax, index
19.2, 68, 0 0 2
19.7, 31, 1 0 0
21.9, 17, 1 0 1
27.6, 100, 1 0 2
34.4, 61, 1 1 0
39.7, 66, 1 1 2
44.7, 26, 2 0 2
53.0, 63, 1 1 4
57.6, 24, 2 1 2
61.6, 24, 3 0 0